For BaTl3Cl12, a structure optimized by DFT (GGA-PBE) gives the simulated XRD peak list in this record (Cu Kα (weighted mean of Kα1 and Kα2)).
Lines closer than 0.1° are merged.

Main lines, sorted by position (2θ = 10–80°):
d_spacing, two_theta, I (rel.)
8.745, 10.1, 63
5.851, 15.1, 18
5.769, 15.4, 44
5.218, 17.0, 100
4.373, 20.3, 17
4.108, 21.6, 35
3.378, 26.4, 19
3.214, 27.8, 34
2.915, 30.7, 21
2.185, 41.3, 16

Atomic structure:
Cell: 13.370 13.370 13.370 Å, 51.90 51.90 51.90°
Positions (direct):
Ba 0.000 0.000 0.000
Ba 0.500 0.500 0.500
Tl 0.109 0.355 0.696
Tl 0.196 0.855 0.609
Tl 0.355 0.696 0.109
Tl 0.609 0.196 0.855
Tl 0.696 0.109 0.355
Tl 0.855 0.609 0.196
Cl 0.016 0.576 0.534
Cl 0.034 0.076 0.516
Cl 0.076 0.516 0.034
Cl 0.155 0.670 0.159
Cl 0.159 0.155 0.670
Cl 0.170 0.655 0.659
Cl 0.180 0.806 0.830
Cl 0.295 0.943 0.958
Cl 0.306 0.680 0.330
Cl 0.330 0.306 0.680
Cl 0.443 0.795 0.458
Cl 0.458 0.443 0.795
Cl 0.516 0.034 0.076
Cl 0.534 0.016 0.576
Cl 0.576 0.534 0.016
Cl 0.655 0.659 0.170
Cl 0.659 0.170 0.655
Cl 0.670 0.159 0.155
Cl 0.680 0.330 0.306
Cl 0.795 0.458 0.443
Cl 0.806 0.830 0.180
Cl 0.830 0.180 0.806
Cl 0.943 0.958 0.295
Cl 0.958 0.295 0.943